Entry 1:
This entry pairs a crystal structure of LaCe2ErSb4 with its calculated X-ray diffraction stick pattern. Radiation: Cu Kα (weighted mean of Kα1 and Kα2). Structure: DFT lattice parameters and positions (GGA-PBE).
Intensities are scaled so that the largest is 100.

Peak list (8 most intense, 5 to 70 degrees two-theta, low angle first)
| 2θ/deg | I/Imax |
| --- | --- |
| 12.05 | 1 |
| 24.23 | 2 |
| 28.05 | 100 |
| 40.09 | 76 |
| 47.40 | 1 |
| 49.64 | 27 |
| 57.99 | 13 |
| 65.63 | 35 |

```
LaCe2ErSb4
1.0
7.788 0.000 0.000
0.000 4.498 0.000
-2.594 0.000 7.348
La Ce Er Sb
1 2 1 4
direct
0.000 0.000 0.000 La
0.000 0.500 0.500 Ce
0.500 0.000 0.500 Ce
0.500 0.500 0.000 Er
0.259 0.000 0.753 Sb
0.259 0.500 0.252 Sb
0.741 0.000 0.247 Sb
0.741 0.500 0.748 Sb
```


Entry 2:
This entry pairs a crystal structure of LaTb3Ce2Er6 with its calculated X-ray diffraction stick pattern. Radiation: Cu Kα (weighted mean of Kα1 and Kα2). Structure: DFT lattice parameters and positions (GGA-PBE).
Intensities are scaled so that the largest is 100.

Peak list (9 most intense, 5 to 70 degrees two-theta, low angle first)
| 2θ/deg | I/Imax |
| --- | --- |
| 30.88 | 100 |
| 35.60 | 34 |
| 36.23 | 16 |
| 51.23 | 12 |
| 51.70 | 24 |
| 60.96 | 14 |
| 61.09 | 14 |
| 61.87 | 14 |
| 64.35 | 12 |

```
LaTb3Ce2Er6
1.0
-2.519 4.959 7.576
2.519 -4.959 7.576
2.519 4.959 -7.576
La Tb Ce Er
1 3 2 6
direct
0.000 0.000 0.000 La
0.169 0.669 0.500 Tb
0.500 0.000 0.500 Tb
0.831 0.331 0.500 Tb
0.333 0.333 0.000 Ce
0.667 0.667 0.000 Ce
0.085 0.832 0.253 Er
0.256 0.500 0.756 Er
0.421 0.168 0.253 Er
0.579 0.832 0.747 Er
0.744 0.500 0.244 Er
0.915 0.168 0.747 Er
```


Entry 3:
This entry pairs a crystal structure of LaCe2Y6Er3 with its calculated X-ray diffraction stick pattern. Radiation: Cu Kα (weighted mean of Kα1 and Kα2). Structure: DFT lattice parameters and positions (GGA-PBE).
Intensities are scaled so that the largest is 100.

Peak list (10 most intense, 5 to 70 degrees two-theta, low angle first)
| 2θ/deg | I/Imax |
| --- | --- |
| 15.25 | 8 |
| 29.40 | 5 |
| 30.75 | 100 |
| 35.65 | 50 |
| 38.98 | 3 |
| 46.89 | 2 |
| 51.31 | 35 |
| 53.83 | 2 |
| 61.02 | 42 |
| 64.05 | 12 |

```
LaCe2Y6Er3
1.0
3.085 -5.344 0.000
3.085 5.344 0.000
-2.059 0.000 11.620
La Ce Y Er
1 2 6 3
direct
0.000 0.000 0.000 La
0.333 0.667 0.000 Ce
0.667 0.333 0.000 Ce
0.084 0.421 0.252 Y
0.252 0.252 0.748 Y
0.421 0.084 0.252 Y
0.579 0.916 0.748 Y
0.748 0.748 0.252 Y
0.916 0.579 0.748 Y
0.167 0.833 0.500 Er
0.500 0.500 0.500 Er
0.833 0.167 0.500 Er
```


Entry 4:
This entry pairs a crystal structure of LiCeEr2 with its calculated X-ray diffraction stick pattern. Radiation: Cu Kα (weighted mean of Kα1 and Kα2). Structure: DFT lattice parameters and positions (GGA-PBE).
Intensities are scaled so that the largest is 100.

Peak list (10 most intense, 5 to 70 degrees two-theta, low angle first)
| 2θ/deg | I/Imax |
| --- | --- |
| 7.88 | 85 |
| 15.79 | 44 |
| 30.47 | 48 |
| 31.89 | 54 |
| 32.20 | 53 |
| 33.20 | 100 |
| 35.75 | 72 |
| 37.27 | 26 |
| 53.93 | 38 |
| 64.04 | 44 |

```
LiCeEr2
1.0
1.700 0.982 11.224
-1.700 0.982 11.224
0.000 -1.963 11.224
Li Ce Er
1 1 2
direct
0.000 0.000 0.000 Li
0.834 0.834 0.834 Ce
0.415 0.415 0.415 Er
0.586 0.586 0.586 Er
```


Entry 5:
This entry pairs a crystal structure of CeErMgOs with its calculated X-ray diffraction stick pattern. Radiation: Cu Kα (weighted mean of Kα1 and Kα2). Structure: DFT lattice parameters and positions (GGA-PBE).
Intensities are scaled so that the largest is 100.

Peak list (10 most intense, 5 to 70 degrees two-theta, low angle first)
| 2θ/deg | I/Imax |
| --- | --- |
| 21.72 | 23 |
| 25.14 | 4 |
| 35.84 | 100 |
| 42.30 | 13 |
| 44.28 | 1 |
| 51.59 | 18 |
| 56.62 | 5 |
| 58.23 | 2 |
| 64.41 | 36 |
| 68.85 | 4 |

```
CeErMgOs
1.0
0.000 3.543 3.543
3.543 0.000 3.543
3.543 3.543 0.000
Ce Er Mg Os
1 1 1 1
direct
0.000 0.000 0.000 Ce
0.500 0.500 0.500 Er
0.250 0.250 0.250 Mg
0.750 0.750 0.750 Os
```


Entry 6:
This entry pairs a crystal structure of CeEr3N4 with its calculated X-ray diffraction stick pattern. Radiation: Cu Kα (weighted mean of Kα1 and Kα2). Structure: DFT lattice parameters and positions (GGA-PBE).
Intensities are scaled so that the largest is 100.

Peak list (5 most intense, 5 to 70 degrees two-theta, low angle first)
| 2θ/deg | I/Imax |
| --- | --- |
| 31.66 | 100 |
| 36.72 | 71 |
| 52.90 | 49 |
| 62.98 | 44 |
| 66.13 | 16 |

```
CeEr3N4
1.0
5.995 0.000 0.000
0.000 6.923 0.000
-2.000 0.000 5.653
Ce Er N
2 6 8
direct
0.000 0.128 0.250 Ce
0.000 0.872 0.750 Ce
0.000 0.377 0.750 Er
0.000 0.623 0.250 Er
0.500 0.128 0.750 Er
0.500 0.378 0.250 Er
0.500 0.622 0.750 Er
0.500 0.872 0.250 Er
0.251 0.126 0.000 N
0.251 0.376 0.500 N
0.251 0.624 0.000 N
0.251 0.874 0.500 N
0.749 0.126 0.500 N
0.749 0.376 0.000 N
0.749 0.624 0.500 N
0.749 0.874 0.000 N
```


Entry 7:
This entry pairs a crystal structure of CeEr4N5 with its calculated X-ray diffraction stick pattern. Radiation: Cu Kα (weighted mean of Kα1 and Kα2). Structure: DFT lattice parameters and positions (GGA-PBE).
Intensities are scaled so that the largest is 100.

Peak list (5 most intense, 5 to 70 degrees two-theta, low angle first)
| 2θ/deg | I/Imax |
| --- | --- |
| 31.73 | 100 |
| 36.81 | 71 |
| 53.04 | 49 |
| 63.14 | 44 |
| 66.30 | 16 |

```
CeEr4N5
1.0
-3.862 3.862 2.441
3.862 -3.862 2.441
3.862 3.862 -2.441
Ce Er N
1 4 5
direct
0.000 0.000 0.000 Ce
0.198 0.400 0.598 Er
0.400 0.802 0.202 Er
0.600 0.198 0.798 Er
0.802 0.600 0.402 Er
0.099 0.700 0.798 N
0.300 0.099 0.399 N
0.500 0.500 0.000 N
0.700 0.901 0.601 N
0.901 0.300 0.202 N
```


Entry 8:
This entry pairs a crystal structure of Ce2ErThN4 with its calculated X-ray diffraction stick pattern. Radiation: Cu Kα (weighted mean of Kα1 and Kα2). Structure: DFT lattice parameters and positions (GGA-PBE).
Intensities are scaled so that the largest is 100.

Peak list (10 most intense, 5 to 70 degrees two-theta, low angle first)
| 2θ/deg | I/Imax |
| --- | --- |
| 15.21 | 5 |
| 29.39 | 3 |
| 30.72 | 100 |
| 35.62 | 71 |
| 51.15 | 8 |
| 51.28 | 41 |
| 60.92 | 30 |
| 61.03 | 15 |
| 63.92 | 8 |
| 64.04 | 8 |

```
Ce2ErThN4
1.0
6.171 0.000 0.000
0.000 3.563 0.000
-2.039 0.000 5.826
Ce Er Th N
2 1 1 4
direct
0.000 0.000 0.000 Ce
0.500 0.500 0.000 Ce
0.000 0.500 0.500 Er
0.500 0.000 0.500 Th
0.243 0.000 0.745 N
0.243 0.500 0.253 N
0.757 0.000 0.255 N
0.757 0.500 0.747 N
```


Entry 9:
This entry pairs a crystal structure of NaCeEr with its calculated X-ray diffraction stick pattern. Radiation: Cu Kα (weighted mean of Kα1 and Kα2). Structure: DFT lattice parameters and positions (GGA-PBE).
Intensities are scaled so that the largest is 100.

Peak list (10 most intense, 5 to 70 degrees two-theta, low angle first)
| 2θ/deg | I/Imax |
| --- | --- |
| 6.74 | 100 |
| 23.93 | 29 |
| 27.21 | 16 |
| 30.83 | 20 |
| 33.39 | 10 |
| 35.49 | 37 |
| 38.77 | 15 |
| 46.86 | 11 |
| 53.63 | 10 |
| 55.03 | 9 |

```
NaCeEr
1.0
3.877 0.000 0.000
0.000 3.877 0.000
0.000 0.000 13.111
Na Ce Er
2 2 2
direct
0.250 0.250 0.083 Na
0.750 0.750 0.917 Na
0.250 0.750 0.500 Ce
0.750 0.250 0.500 Ce
0.250 0.250 0.727 Er
0.750 0.750 0.273 Er
```


Entry 10:
This entry pairs a crystal structure of CeNd8Er4 with its calculated X-ray diffraction stick pattern. Radiation: Cu Kα (weighted mean of Kα1 and Kα2). Structure: DFT lattice parameters and positions (GGA-PBE).
Intensities are scaled so that the largest is 100.

Peak list (10 most intense, 5 to 70 degrees two-theta, low angle first)
| 2θ/deg | I/Imax |
| --- | --- |
| 28.06 | 19 |
| 29.12 | 30 |
| 30.79 | 100 |
| 32.33 | 42 |
| 38.36 | 31 |
| 49.31 | 31 |
| 51.67 | 19 |
| 54.68 | 8 |
| 58.29 | 24 |
| 59.27 | 15 |

```
CeNd8Er4
1.0
3.696 2.134 9.199
-3.696 2.134 9.199
0.000 -4.268 9.199
Ce Nd Er
1 8 4
direct
0.000 0.000 0.000 Ce
0.245 0.245 0.704 Nd
0.245 0.704 0.245 Nd
0.279 0.279 0.279 Nd
0.296 0.755 0.755 Nd
0.704 0.245 0.245 Nd
0.721 0.721 0.721 Nd
0.755 0.296 0.755 Nd
0.755 0.755 0.296 Nd
0.000 0.000 0.500 Er
0.000 0.500 0.000 Er
0.500 0.000 0.000 Er
0.500 0.500 0.500 Er
```


Entry 11:
This entry pairs a crystal structure of CeNd3Er4 with its calculated X-ray diffraction stick pattern. Radiation: Cu Kα (weighted mean of Kα1 and Kα2). Structure: DFT lattice parameters and positions (GGA-PBE).
Intensities are scaled so that the largest is 100.

Peak list (10 most intense, 5 to 70 degrees two-theta, low angle first)
| 2θ/deg | I/Imax |
| --- | --- |
| 28.29 | 68 |
| 29.45 | 47 |
| 29.71 | 56 |
| 30.11 | 78 |
| 30.84 | 87 |
| 31.65 | 100 |
| 32.35 | 97 |
| 33.12 | 60 |
| 36.26 | 46 |
| 53.01 | 45 |

```
CeNd3Er4
1.0
12.659 -1.706 0.000
12.659 1.706 0.000
-0.519 0.000 6.065
Ce Nd Er
1 3 4
direct
0.000 0.000 0.000 Ce
0.354 0.354 0.255 Nd
0.500 0.500 0.500 Nd
0.646 0.646 0.745 Nd
0.221 0.221 0.237 Er
0.393 0.393 0.772 Er
0.607 0.607 0.228 Er
0.779 0.779 0.763 Er
```


Entry 12:
This entry pairs a crystal structure of CeNd6Er10 with its calculated X-ray diffraction stick pattern. Radiation: Cu Kα (weighted mean of Kα1 and Kα2). Structure: DFT lattice parameters and positions (GGA-PBE).
Intensities are scaled so that the largest is 100.

Peak list (10 most intense, 5 to 70 degrees two-theta, low angle first)
| 2θ/deg | I/Imax |
| --- | --- |
| 31.12 | 51 |
| 31.91 | 100 |
| 32.09 | 72 |
| 41.04 | 12 |
| 45.88 | 24 |
| 49.28 | 14 |
| 56.36 | 9 |
| 56.74 | 17 |
| 57.09 | 15 |
| 63.34 | 11 |

```
CeNd6Er10
1.0
9.662 0.000 0.000
-4.831 8.368 0.000
0.000 0.000 6.890
Ce Nd Er
1 6 10
direct
0.000 0.000 0.000 Ce
0.000 0.380 0.799 Nd
0.000 0.620 0.201 Nd
0.380 0.000 0.799 Nd
0.380 0.380 0.201 Nd
0.620 0.000 0.201 Nd
0.620 0.620 0.799 Nd
0.000 0.271 0.319 Er
0.000 0.729 0.681 Er
0.271 0.000 0.319 Er
0.271 0.271 0.681 Er
0.333 0.667 0.000 Er
0.333 0.667 0.500 Er
0.667 0.333 0.000 Er
0.667 0.333 0.500 Er
0.729 0.000 0.681 Er
0.729 0.729 0.319 Er
```


Entry 13:
This entry pairs a crystal structure of CeNd4Er3 with its calculated X-ray diffraction stick pattern. Radiation: Cu Kα (weighted mean of Kα1 and Kα2). Structure: DFT lattice parameters and positions (GGA-PBE).
Intensities are scaled so that the largest is 100.

Peak list (10 most intense, 5 to 70 degrees two-theta, low angle first)
| 2θ/deg | I/Imax |
| --- | --- |
| 26.23 | 21 |
| 29.07 | 25 |
| 30.48 | 100 |
| 31.56 | 44 |
| 32.69 | 16 |
| 33.17 | 42 |
| 37.27 | 15 |
| 38.98 | 17 |
| 62.66 | 26 |
| 63.31 | 18 |

```
CeNd4Er3
1.0
11.839 -1.718 0.000
11.839 1.718 0.000
-1.968 0.000 6.565
Ce Nd Er
1 4 3
direct
0.000 0.000 0.000 Ce
0.241 0.241 0.235 Nd
0.378 0.378 0.635 Nd
0.622 0.622 0.365 Nd
0.759 0.759 0.765 Nd
0.378 0.378 0.119 Er
0.500 0.500 0.500 Er
0.622 0.622 0.881 Er
```


Entry 14:
This entry pairs a crystal structure of CeNdEr2S4 with its calculated X-ray diffraction stick pattern. Radiation: Cu Kα (weighted mean of Kα1 and Kα2). Structure: DFT lattice parameters and positions (GGA-PBE).
Intensities are scaled so that the largest is 100.

Peak list (10 most intense, 5 to 70 degrees two-theta, low angle first)
| 2θ/deg | I/Imax |
| --- | --- |
| 27.09 | 21 |
| 27.79 | 59 |
| 32.00 | 100 |
| 45.43 | 37 |
| 46.29 | 24 |
| 46.40 | 12 |
| 53.70 | 10 |
| 54.46 | 13 |
| 57.47 | 12 |
| 66.90 | 11 |

```
CeNdEr2S4
1.0
6.800 0.000 0.000
0.000 3.914 0.000
-2.255 0.000 6.582
Ce Nd Er S
1 1 2 4
direct
0.000 0.000 0.000 Ce
0.500 0.500 0.000 Nd
0.000 0.500 0.500 Er
0.500 0.000 0.500 Er
0.242 0.000 0.732 S
0.254 0.500 0.267 S
0.746 0.500 0.733 S
0.758 0.000 0.268 S
```